Theoretical XRD peak list of CsTlSiAs2 for CuKα, from a PBE-relaxed structure.
Lines closer than 0.1° are merged.

Largest 10 diffraction maxima, sorted by position, 2θ from 15° to 90°:
d 5.369, 16.51 deg, rel. 58.5
d 3.551, 25.08 deg, rel. 100.0
d 3.428, 25.99 deg, rel. 91.6
d 3.124, 28.57 deg, rel. 57.9
d 2.777, 32.24 deg, rel. 38.3
d 2.734, 32.75 deg, rel. 35.6
d 2.700, 33.18 deg, rel. 40.2
d 2.346, 38.38 deg, rel. 42.5
d 2.058, 44.01 deg, rel. 40.3
d 1.838, 49.58 deg, rel. 29.9

Structural model:
Lattice parameters (Å, degrees): 6.248 14.201 8.203 90.00 90.00 90.00
Space group Cmme (No. 67)
Asymmetric unit:
Cs 0.000 0.250 0.201 (multiplicity 4)
Tl 0.000 0.000 0.500 (multiplicity 4)
Si 0.250 0.000 0.000 (multiplicity 4)
As 0.000 0.090 0.843 (multiplicity 8)